Diffraction record for Li4Pd4Pb3. The powder diffraction line list is simulated, not measured: it uses a PBE-relaxed structure and Cu Ka.
No peak broadening, texture or thermal motion is included.

Crystal structure
```
data_Li4Pd4Pb3
_chemical_formula_sum 'Li4 Pd4 Pb3'
_cell_length_a 3.3013
_cell_length_b 4.5272
_cell_length_c 13.8611
_cell_angle_alpha 99.33
_cell_angle_beta 96.63
_cell_angle_gamma 90.03
_symmetry_space_group_name_H-M 'P -1'
_symmetry_Int_Tables_number 2
loop_
_symmetry_equiv_pos_as_xyz
'x,y,z'
'-x,-y,-z'
loop_
_atom_site_label
_atom_site_fract_x
_atom_site_fract_y
_atom_site_fract_z
Li1 0.0672 0.0665 0.1289
Li2 0.1842 0.6852 0.3640
Pd1 0.2443 0.2447 0.4885
Pd2 0.3966 0.3968 0.7996
Pb1 0.3377 0.8372 0.6799
Pb2 0.5000 0.5000 0.0000
```

Largest 10 diffraction maxima, sorted by position, 5 to 70 degrees two-theta:
- hkl 0 0 1, 2θ = 6.51°, I 36
- hkl 0 1 -2, 2θ = 21.95°, I 100
- hkl 1 0 -1, 2θ = 27.21°, I 66
- hkl 0 1 4, 2θ = 35.70°, I 37
- hkl 0 1 -5, 2θ = 35.77°, I 36
- hkl 1 1 -3, 2θ = 36.18°, I 49
- hkl -1 1 3, 2θ = 39.17°, I 40
- hkl 0 2 -1, 2θ = 39.82°, I 67
- hkl 1 1 3, 2θ = 43.06°, I 19
- hkl 1 2 -2, 2θ = 48.90°, I 27